Calculated X-ray diffraction stick pattern of LiAcPd3 for Cu Ka, from a GGA-PBE-relaxed structure.
Kinematic intensities with the Lorentz-polarization factor, no thermal factor.

The 8 most intense peaks (2θ = 10–80°), sorted by position:
Position (°2θ)	I_rel
19.24	46
27.87	44
28.50	53
29.22	89
38.40	100
39.04	44
40.61	64
41.43	46

Cell and atoms:
```
LiAcPd3
1.0
-2.758 4.445 4.209
2.758 -4.445 4.209
2.758 4.445 -4.209
Li Ac Pd
2 2 6
direct
0.000 0.000 0.000 Li
0.500 0.000 0.500 Li
0.285 0.535 0.750 Ac
0.715 0.465 0.250 Ac
0.081 0.831 0.250 Pd
0.258 0.000 0.758 Pd
0.258 0.500 0.258 Pd
0.742 0.000 0.242 Pd
0.742 0.500 0.742 Pd
0.919 0.169 0.750 Pd
```

=====

Calculated X-ray diffraction stick pattern of LiAcSb2Pd5 for Cu Ka, from a GGA-PBE-relaxed structure.
Kinematic intensities with the Lorentz-polarization factor, no thermal factor.

The 8 most intense peaks (2θ = 10–80°), sorted by position:
Position (°2θ)	I_rel
21.36	43
27.54	20
33.61	100
38.32	90
40.66	99
55.31	31
66.30	28
70.87	38

Cell and atoms:
```
LiAcSb2Pd5
1.0
4.698 0.000 0.000
0.000 4.698 0.000
0.000 0.000 8.945
Li Ac Sb Pd
1 1 2 5
direct
0.000 0.000 0.000 Li
0.000 0.000 0.500 Ac
0.500 0.500 0.159 Sb
0.500 0.500 0.841 Sb
0.000 0.500 0.283 Pd
0.000 0.500 0.717 Pd
0.500 0.000 0.283 Pd
0.500 0.000 0.717 Pd
0.500 0.500 0.500 Pd
```

=====

Calculated X-ray diffraction stick pattern of LiAc2SiPd6 for Cu Ka, from a GGA-PBE-relaxed structure.
Kinematic intensities with the Lorentz-polarization factor, no thermal factor.

The 8 most intense peaks (2θ = 10–80°), sorted by position:
Position (°2θ)	I_rel
19.08	29
28.43	39
28.91	49
30.44	48
36.82	23
37.47	100
38.71	57
40.17	46

Cell and atoms:
```
LiAc2SiPd6
1.0
5.679 0.000 0.000
2.835 5.905 0.000
2.830 0.631 6.176
Li Ac Si Pd
1 2 1 6
direct
0.000 0.000 0.000 Li
0.259 0.276 0.207 Ac
0.741 0.724 0.793 Ac
0.500 0.500 0.500 Si
0.241 0.739 0.268 Pd
0.248 0.886 0.615 Pd
0.249 0.261 0.732 Pd
0.751 0.739 0.268 Pd
0.752 0.114 0.385 Pd
0.759 0.261 0.732 Pd
```

=====

Calculated X-ray diffraction stick pattern of LiAc2Si4Pd3 for Cu Ka, from a GGA-PBE-relaxed structure.
Kinematic intensities with the Lorentz-polarization factor, no thermal factor.

The 8 most intense peaks (2θ = 10–80°), sorted by position:
Position (°2θ)	I_rel
22.06	46
28.78	50
33.35	100
33.82	79
41.15	51
49.28	29
53.96	53
66.08	24

Cell and atoms:
```
LiAc2Si4Pd3
1.0
4.388 0.000 0.000
0.000 4.388 0.000
0.000 0.000 10.195
Li Ac Si Pd
1 2 4 3
direct
0.000 0.000 0.000 Li
0.000 0.500 0.751 Ac
0.500 0.000 0.249 Ac
0.000 0.000 0.500 Si
0.000 0.500 0.132 Si
0.500 0.000 0.868 Si
0.500 0.500 0.500 Si
0.000 0.500 0.382 Pd
0.500 0.000 0.618 Pd
0.500 0.500 0.000 Pd
```